[1]
Structure and calculated powder diffractogram of HoSiTc4Ge (DFT lattice parameters and positions (PBE); Cu Kα (weighted mean of Kα1 and Kα2)).
Lines closer than 0.1° are merged.

Most intense lines, 10 to 80 degrees two-theta, sorted by position:
Position (°2θ)	d (Å)	I (rel.)
12.60	7.026	11
25.32	3.518	12
33.70	2.660	15
36.54	2.459	100
38.84	2.318	10
44.16	2.051	24
44.51	2.036	24
45.00	2.015	21
55.76	1.649	10
64.52	1.444	19
76.22	1.249	11
76.72	1.242	11

Structure:
```
data_HoSiTc4Ge
_symmetry_space_group_name_H-M 'A m m 2'
_symmetry_Int_Tables_number 38
_symmetry_space_group_name_Hall 'A 2 -2'
_cell_length_a 4.071
_cell_length_b 4.102
_cell_length_c 14.052
_cell_angle_alpha 90.00
_cell_angle_beta 90.00
_cell_angle_gamma 90.00
loop_
_atom_site_label
_atom_site_type_symbol
_atom_site_fract_x
_atom_site_fract_y
_atom_site_fract_z
Ho1 Ho 0.000 0.000 0.000
Si1 Si 0.500 0.000 0.413
Tc1 Tc 0.000 0.000 0.311
Tc2 Tc 0.000 0.000 0.702
Tc3 Tc 0.500 0.000 0.195
Tc4 Tc 0.500 0.000 0.817
Ge1 Ge 0.500 0.000 0.587
```

[2]
Structure and calculated powder diffractogram of Y2Sb2PdPt (DFT lattice parameters and positions (PBE); Cu Kα (weighted mean of Kα1 and Kα2)).
Lines closer than 0.1° are merged.

Most intense lines, 10 to 80 degrees two-theta, sorted by position:
Position (°2θ)	d (Å)	I (rel.)
11.59	7.634	1
13.39	6.611	1
23.31	3.817	44
26.98	3.305	4
38.52	2.337	100
45.51	1.993	22
47.65	1.908	1
55.61	1.653	17
61.11	1.517	9
62.87	1.478	1
69.68	1.349	34
74.60	1.272	7

Structure:
```
data_Y2Sb2PdPt
_symmetry_space_group_name_H-M 'P 1 m 1'
_symmetry_Int_Tables_number 6
_symmetry_space_group_name_Hall 'P -2y'
_cell_length_a 8.096
_cell_length_b 4.674
_cell_length_c 15.504
_cell_angle_alpha 90.00
_cell_angle_beta 100.02
_cell_angle_gamma 90.00
loop_
_atom_site_label
_atom_site_type_symbol
_atom_site_fract_x
_atom_site_fract_y
_atom_site_fract_z
Y1 Y 0.000 0.000 0.000
Y2 Y 0.000 0.500 0.499
Y3 Y 0.249 0.000 0.749
Y4 Y 0.249 0.500 0.249
Y5 Y 0.500 0.000 0.500
Y6 Y 0.500 0.500 0.000
Y7 Y 0.750 0.000 0.249
Y8 Y 0.750 0.500 0.749
Sb1 Sb 0.124 0.500 0.875
Sb2 Sb 0.125 0.000 0.374
Sb3 Sb 0.374 0.500 0.624
Sb4 Sb 0.375 0.000 0.125
Sb5 Sb 0.624 0.500 0.374
Sb6 Sb 0.625 0.000 0.875
Sb7 Sb 0.875 0.000 0.624
Sb8 Sb 0.875 0.500 0.125
Pd1 Pd 0.063 0.000 0.187
Pd2 Pd 0.063 0.500 0.687
Pd3 Pd 0.313 0.500 0.437
Pd4 Pd 0.562 0.500 0.188
Pt1 Pt 0.313 0.000 0.936
Pt2 Pt 0.562 0.000 0.688
Pt3 Pt 0.811 0.000 0.437
Pt4 Pt 0.811 0.500 0.936
```

[3]
Structure and calculated powder diffractogram of LaNdSm2Se3O4 (DFT lattice parameters and positions (PBE); Cu Kα (weighted mean of Kα1 and Kα2)).
Lines closer than 0.1° are merged.

Most intense lines, 10 to 80 degrees two-theta, sorted by position:
Position (°2θ)	d (Å)	I (rel.)
25.30	3.520	55
30.58	2.924	100
31.65	2.827	55
35.13	2.555	28
39.89	2.260	11
42.15	2.144	15
45.38	1.999	27
47.25	1.924	23
52.67	1.738	15
53.68	1.707	16
58.65	1.574	13
59.58	1.552	14

Structure:
```
data_LaNdSm2Se3O4
_symmetry_space_group_name_H-M 'A m m 2'
_symmetry_Int_Tables_number 38
_symmetry_space_group_name_Hall 'A 2 -2'
_cell_length_a 8.413
_cell_length_b 3.997
_cell_length_c 12.863
_cell_angle_alpha 90.00
_cell_angle_beta 90.00
_cell_angle_gamma 90.00
loop_
_atom_site_label
_atom_site_type_symbol
_atom_site_fract_x
_atom_site_fract_y
_atom_site_fract_z
La1 La 0.000 0.000 0.000
Nd1 Nd 0.500 0.000 0.984
Sm1 Sm 0.264 0.000 0.667
Se1 Se 0.151 0.000 0.336
Se2 Se 0.500 0.000 0.296
O1 O 0.000 0.000 0.603
O2 O 0.258 0.000 0.073
O3 O 0.500 0.000 0.573
```

Number 2 is which compound?
Y2Sb2PdPt

Copy entry 3 word for word.
Structure and calculated powder diffractogram of LaNdSm2Se3O4 (DFT lattice parameters and positions (PBE); Cu Kα (weighted mean of Kα1 and Kα2)).
Lines closer than 0.1° are merged.

Most intense lines, 10 to 80 degrees two-theta, sorted by position:
Position (°2θ)	d (Å)	I (rel.)
25.30	3.520	55
30.58	2.924	100
31.65	2.827	55
35.13	2.555	28
39.89	2.260	11
42.15	2.144	15
45.38	1.999	27
47.25	1.924	23
52.67	1.738	15
53.68	1.707	16
58.65	1.574	13
59.58	1.552	14

Structure:
```
data_LaNdSm2Se3O4
_symmetry_space_group_name_H-M 'A m m 2'
_symmetry_Int_Tables_number 38
_symmetry_space_group_name_Hall 'A 2 -2'
_cell_length_a 8.413
_cell_length_b 3.997
_cell_length_c 12.863
_cell_angle_alpha 90.00
_cell_angle_beta 90.00
_cell_angle_gamma 90.00
loop_
_atom_site_label
_atom_site_type_symbol
_atom_site_fract_x
_atom_site_fract_y
_atom_site_fract_z
La1 La 0.000 0.000 0.000
Nd1 Nd 0.500 0.000 0.984
Sm1 Sm 0.264 0.000 0.667
Se1 Se 0.151 0.000 0.336
Se2 Se 0.500 0.000 0.296
O1 O 0.000 0.000 0.603
O2 O 0.258 0.000 0.073
O3 O 0.500 0.000 0.573
```

Number 3 is which compound?
LaNdSm2Se3O4